Diffraction record for Sm3SeS3. The powder X-ray diffraction pattern is calculated, not measured: it uses a crystal structure in Alexandria, relaxed with PBE and Cu Ka.

The 8 most intense peaks (10 to 90 degrees two-theta), low angle first:
| two_theta | intensity |
| --- | --- |
| 17.52 | 37 |
| 26.95 | 51 |
| 30.94 | 100 |
| 31.78 | 47 |
| 44.32 | 36 |
| 44.94 | 70 |
| 55.56 | 37 |
| 82.02 | 24 |

Structure:
```
28
Lattice="11.5626 0.0000 0.0000 0.0000 11.5626 0.0000 0.0000 0.0000 5.6313" Properties=species:S:1:pos:R:3 pbc="T T T"
Sm 1.4134 4.2952 0.0000
Sm 1.4401 1.4401 2.8156
Sm 1.4861 7.1947 2.8156
Sm 4.2952 1.4134 0.0000
Sm 4.3412 7.2214 0.0000
Sm 4.3679 10.0765 2.8156
Sm 7.1947 1.4861 2.8156
Sm 7.2214 4.3412 0.0000
Sm 7.2674 10.1493 0.0000
Sm 10.0765 4.3679 2.8156
Sm 10.1225 10.1225 2.8156
Sm 10.1493 7.2674 0.0000
Se 1.4555 10.1071 2.8156
Se 4.3258 4.3258 0.0000
Se 7.2368 7.2368 0.0000
Se 10.1071 1.4555 2.8156
S 1.3681 4.3151 2.8156
S 1.4662 7.1494 0.0000
S 1.5364 1.5364 0.0000
S 4.2449 7.3177 2.8156
S 4.3151 1.3681 2.8156
S 4.4132 10.0964 0.0000
S 7.1494 1.4662 0.0000
S 7.2475 10.1945 2.8156
S 7.3177 4.2449 2.8156
S 10.0262 10.0262 0.0000
S 10.0964 4.4132 0.0000
S 10.1945 7.2475 2.8156
```

***

Diffraction record for Sm2Y2Se2S3. The powder X-ray diffraction pattern is calculated, not measured: it uses a crystal structure in Alexandria, relaxed with PBE and Cu Ka.

The 8 most intense peaks (10 to 90 degrees two-theta), low angle first:
| two_theta | intensity |
| --- | --- |
| 24.67 | 24 |
| 26.21 | 61 |
| 32.86 | 100 |
| 34.03 | 52 |
| 35.18 | 49 |
| 41.52 | 22 |
| 47.16 | 37 |
| 48.90 | 35 |

Structure:
```
9
Lattice="-2.7254 2.7254 7.2184 2.7254 -2.7254 7.2184 2.7254 2.7254 -7.2184" Properties=species:S:1:pos:R:3 pbc="T T T"
Sm 2.7254 0.0000 0.0000
Sm 0.0000 2.7254 0.0000
Y 0.0000 0.0000 2.9466
Y 0.0000 0.0000 11.4902
Se 0.0000 0.0000 5.7298
Se 0.0000 0.0000 8.7069
S 0.0000 0.0000 0.0000
S 2.7254 0.0000 3.6092
S 0.0000 2.7254 3.6092
```

***

Diffraction record for Sn6Se5S. The powder X-ray diffraction pattern is calculated, not measured: it uses a crystal structure in Alexandria, relaxed with PBE and Cu Ka.

The 8 most intense peaks (10 to 90 degrees two-theta), low angle first:
| two_theta | intensity |
| --- | --- |
| 25.63 | 12 |
| 29.68 | 100 |
| 42.48 | 75 |
| 52.65 | 20 |
| 52.75 | 7 |
| 61.64 | 13 |
| 69.89 | 35 |
| 77.69 | 20 |

Structure:
```
12
Lattice="3.6822 -6.3868 0.0000 3.6822 6.3868 0.0000 -2.4632 0.0000 6.9546" Properties=species:S:1:pos:R:3 pbc="T T T"
Sn -0.0286 2.0883 5.1971
Sn 1.1711 0.0000 1.7739
Sn -0.0286 -2.0883 5.1971
Sn 4.9297 2.0883 1.7575
Sn 3.7300 0.0000 5.1807
Sn 4.9297 -2.0883 1.7575
Se 3.6822 4.2218 0.0000
Se 2.4506 2.1172 3.4773
Se 3.6822 0.0000 0.0000
Se 2.4506 -2.1172 3.4773
Se 3.6822 -4.2218 0.0000
S -1.2316 0.0000 3.4773
```

***

Diffraction record for Sn5Se4S. The powder X-ray diffraction pattern is calculated, not measured: it uses a crystal structure in Alexandria, relaxed with PBE and Cu Ka.

The 8 most intense peaks (10 to 90 degrees two-theta), low angle first:
| two_theta | intensity |
| --- | --- |
| 25.67 | 13 |
| 29.72 | 100 |
| 42.53 | 75 |
| 52.76 | 20 |
| 61.72 | 13 |
| 69.97 | 23 |
| 70.01 | 12 |
| 77.84 | 26 |

Structure:
```
10
Lattice="7.0537 -2.1245 0.0000 7.0537 2.1245 0.0000 -5.1259 0.0000 9.0618" Properties=species:S:1:pos:R:3 pbc="T T T"
Sn 0.0000 0.0000 0.0000
Sn -1.2881 0.0000 7.1964
Sn 2.6392 0.0000 5.3987
Sn 6.3424 0.0000 3.6631
Sn 10.2697 0.0000 1.8654
Se 1.2412 0.0000 2.7446
Se 5.1074 0.0000 0.8868
Se 3.8742 0.0000 8.1750
Se 7.7404 0.0000 6.3172
S -2.5629 0.0000 4.5309
```

***

Diffraction record for Sn4TeSeS2. The powder X-ray diffraction pattern is calculated, not measured: it uses a crystal structure in Alexandria, relaxed with PBE and Cu Ka.

The 8 most intense peaks (10 to 90 degrees two-theta), low angle first:
| two_theta | intensity |
| --- | --- |
| 25.57 | 14 |
| 29.61 | 100 |
| 42.37 | 74 |
| 52.51 | 20 |
| 61.47 | 12 |
| 69.64 | 17 |
| 69.74 | 15 |
| 77.44 | 15 |

Structure:
```
8
Lattice="7.3805 0.0000 0.0000 0.0000 4.2680 0.0000 -2.4727 0.0000 6.9740" Properties=species:S:1:pos:R:3 pbc="T T T"
Sn 1.1039 0.0000 1.6418
Sn -0.1271 2.1340 5.2396
Sn 5.0350 2.1340 1.7344
Sn 3.8039 0.0000 5.3322
Te 2.4539 2.1340 3.4870
Se 3.6902 0.0000 0.0000
S -1.2363 0.0000 3.4870
S 0.0000 2.1340 0.0000
```

***

Diffraction record for Sn3TeSeS. The powder X-ray diffraction pattern is calculated, not measured: it uses a crystal structure in Alexandria, relaxed with PBE and Cu Ka.

The 8 most intense peaks (10 to 90 degrees two-theta), low angle first:
| two_theta | intensity |
| --- | --- |
| 26.67 | 18 |
| 28.03 | 23 |
| 30.00 | 100 |
| 31.46 | 30 |
| 31.88 | 21 |
| 34.05 | 38 |
| 42.28 | 31 |
| 47.12 | 22 |

Structure:
```
12
Lattice="8.4241 0.0000 0.0000 0.0000 4.2748 0.0000 -2.5363 0.0000 9.8277" Properties=species:S:1:pos:R:3 pbc="T T T"
Sn -0.4820 1.0687 2.9697
Sn -0.1046 1.0687 9.6998
Sn 2.0167 3.2061 5.9835
Sn 3.8711 1.0687 3.8442
Sn 5.9924 3.2061 0.1279
Sn 6.3698 3.2061 6.8580
Te 1.6125 3.2061 2.3327
Te 4.2753 1.0687 7.4950
Se 0.1242 1.0687 5.6673
Se 5.7636 3.2061 4.1604
S 1.2518 3.2061 8.5258
S 4.6361 1.0687 1.3020
```

***

Diffraction record for Tl2Sn2Se2S. The powder X-ray diffraction pattern is calculated, not measured: it uses a crystal structure in Alexandria, relaxed with PBE and Cu Ka.

The 8 most intense peaks (10 to 90 degrees two-theta), low angle first:
| two_theta | intensity |
| --- | --- |
| 25.10 | 45 |
| 27.10 | 100 |
| 29.31 | 48 |
| 29.43 | 48 |
| 32.00 | 45 |
| 35.01 | 89 |
| 37.17 | 52 |
| 42.78 | 41 |

Structure:
```
7
Lattice="4.2275 0.0000 0.0000 2.0994 7.4140 0.0000 0.0263 3.7182 7.0945" Properties=species:S:1:pos:R:3 pbc="T T T"
Tl 1.0584 4.1238 1.9222
Tl 5.2948 7.0084 5.1723
Sn 3.1564 7.8254 1.7058
Sn 3.1968 3.3068 5.3887
Se 3.1855 9.5183 6.9709
Se 3.1676 1.6138 0.1236
S 3.1766 5.5661 3.5472
```

***

Diffraction record for USnSeS2. The powder X-ray diffraction pattern is calculated, not measured: it uses a crystal structure in Alexandria, relaxed with PBE and Cu Ka.

The 8 most intense peaks (10 to 90 degrees two-theta), low angle first:
| two_theta | intensity |
| --- | --- |
| 18.84 | 56 |
| 25.09 | 57 |
| 25.44 | 100 |
| 28.76 | 32 |
| 35.35 | 45 |
| 35.63 | 26 |
| 42.77 | 44 |
| 44.28 | 26 |

Structure:
```
10
Lattice="7.3879 0.0000 0.0000 0.0000 4.1264 0.0000 -2.7123 0.0000 9.4212" Properties=species:S:1:pos:R:3 pbc="T T T"
U 0.5297 1.0316 4.2468
U 4.1459 3.0948 5.1744
Sn 1.7560 3.0948 0.5419
Sn 2.9196 1.0316 8.8793
Se -0.4625 3.0948 5.9274
Se 5.1381 1.0316 3.4938
S 0.3065 1.0316 1.3637
S 2.0942 3.0948 3.3558
S 2.5814 1.0316 6.0653
S 4.3691 3.0948 8.0575
```

***

Diffraction record for Ta7Se12S. The powder X-ray diffraction pattern is calculated, not measured: it uses a crystal structure in Alexandria, relaxed with PBE and Cu Ka.

The 8 most intense peaks (10 to 90 degrees two-theta), low angle first:
| two_theta | intensity |
| --- | --- |
| 13.47 | 46 |
| 33.50 | 19 |
| 35.00 | 100 |
| 35.87 | 11 |
| 50.04 | 31 |
| 50.62 | 35 |
| 62.52 | 15 |
| 84.95 | 13 |

Structure:
```
20
Lattice="6.5724 3.7946 2.9288 -6.5724 3.7946 2.9288 0.0000 -7.5891 2.9288" Properties=species:S:1:pos:R:3 pbc="T T T"
Ta 0.0000 0.0000 0.0000
Ta -1.3593 -1.2840 2.9045
Ta -0.4323 1.8192 2.9045
Ta 1.7916 -0.5352 2.9045
Ta -1.7916 0.5352 5.8819
Ta 0.4323 -1.8192 5.8819
Ta 1.3593 1.2840 5.8819
Se -2.1511 0.6293 1.3671
Se 0.5305 -2.1776 1.3671
Se -3.4910 -0.9614 4.3293
Se -0.9129 -3.5040 4.4572
Se 1.6206 1.5482 1.3671
Se -2.5781 2.5426 4.4572
Se 2.5781 -2.5426 4.3293
Se -1.6206 -1.5482 7.4193
Se 0.9129 3.5040 4.3293
Se 3.4910 0.9614 4.4572
Se -0.5305 2.1776 7.4193
Se 2.1511 -0.6293 7.4193
S 0.0000 0.0000 4.3932
```

***

Diffraction record for Ta4SeS. The powder X-ray diffraction pattern is calculated, not measured: it uses a crystal structure in Alexandria, relaxed with PBE and Cu Ka.

The 8 most intense peaks (10 to 90 degrees two-theta), low angle first:
| two_theta | intensity |
| --- | --- |
| 37.84 | 59 |
| 38.03 | 100 |
| 38.94 | 11 |
| 45.23 | 19 |
| 54.58 | 21 |
| 68.46 | 36 |
| 68.84 | 13 |
| 73.51 | 9 |

Structure:
```
6
Lattice="3.3627 0.0000 0.0000 0.0000 3.3627 0.0000 0.0000 0.0000 9.9888" Properties=species:S:1:pos:R:3 pbc="T T T"
Ta 0.0000 0.0000 0.0000
Ta 0.0000 0.0000 3.1755
Ta 1.6814 1.6814 1.5321
Ta 1.6814 1.6814 8.2938
Se 1.6814 1.6814 4.4368
S 0.0000 0.0000 7.3093
```

***

Diffraction record for TbSeS. The powder X-ray diffraction pattern is calculated, not measured: it uses a crystal structure in Alexandria, relaxed with PBE and Cu Ka.

The 8 most intense peaks (10 to 90 degrees two-theta), low angle first:
| two_theta | intensity |
| --- | --- |
| 17.61 | 49 |
| 26.03 | 29 |
| 27.39 | 23 |
| 29.94 | 100 |
| 35.65 | 25 |
| 38.85 | 33 |
| 40.45 | 39 |
| 44.62 | 18 |

Structure:
```
6
Lattice="-2.0307 2.7246 6.6013 2.0307 -2.7246 6.6013 2.0307 2.7246 -6.6013" Properties=species:S:1:pos:R:3 pbc="T T T"
Tb 0.0000 0.0000 2.0472
Tb 0.0000 0.0000 11.1555
Se 2.0307 1.2067 0.0000
Se 0.0000 1.5179 6.6013
S 2.0307 0.0000 3.8068
S 0.0000 2.7246 2.7946
```

***

Diffraction record for Tb3Se2S2. The powder X-ray diffraction pattern is calculated, not measured: it uses a crystal structure in Alexandria, relaxed with PBE and Cu Ka.

The 8 most intense peaks (10 to 90 degrees two-theta), low angle first:
| two_theta | intensity |
| --- | --- |
| 13.70 | 19 |
| 17.05 | 19 |
| 23.37 | 25 |
| 31.17 | 52 |
| 31.78 | 100 |
| 44.68 | 38 |
| 45.55 | 72 |
| 56.21 | 20 |

Structure:
```
7
Lattice="3.9839 0.0000 0.0000 -1.9913 6.5593 0.0000 -0.0051 -1.2016 6.9666" Properties=species:S:1:pos:R:3 pbc="T T T"
Tb 0.0000 0.0000 0.0000
Tb -0.0052 2.2791 5.2112
Tb 1.9926 3.0786 1.7555
Se 0.0019 1.1807 2.5885
Se 1.9856 4.1770 4.3782
S 0.0003 4.7556 0.7539
S 1.9872 0.6022 6.2127
```

***

Diffraction record for Tb5Se2S5. The powder X-ray diffraction pattern is calculated, not measured: it uses a crystal structure in Alexandria, relaxed with PBE and Cu Ka.

The 8 most intense peaks (10 to 90 degrees two-theta), low angle first:
| two_theta | intensity |
| --- | --- |
| 23.10 | 100 |
| 24.04 | 97 |
| 24.17 | 61 |
| 27.32 | 38 |
| 32.80 | 83 |
| 33.58 | 77 |
| 40.98 | 56 |
| 47.24 | 50 |

Structure:
```
12
Lattice="6.5341 -1.9236 0.0000 6.5341 1.9236 0.0000 -2.7856 0.0000 11.5633" Properties=species:S:1:pos:R:3 pbc="T T T"
Tb 0.0000 0.0000 0.0000
Tb 0.3036 0.0000 4.9620
Tb 3.2777 0.0000 2.1324
Tb 7.0050 0.0000 9.4309
Tb 9.9791 0.0000 6.6014
Se -1.6282 0.0000 9.0243
Se 11.9109 0.0000 2.5390
S 1.6221 0.0000 7.4869
S 1.8295 0.0000 10.9878
S 5.1413 0.0000 5.7817
S 8.4532 0.0000 0.5755
S 8.6606 0.0000 4.0764
```